Structure and simulated XRD peak list of NaCa2SiO4F (a GGA-PBE-relaxed structure; Cu Kα).
Lines closer than 0.1° are merged.

```
NaCa2SiO4F
1.0
7.364 0.000 0.000
-0.096 7.795 0.000
-1.262 -0.793 9.224
Na Ca Si O F
4 8 4 16 4
direct
0.000 0.000 0.000 Na
0.061 0.513 0.592 Na
0.525 0.528 0.511 Na
0.688 0.735 0.068 Na
0.006 0.525 0.994 Ca
0.023 0.815 0.370 Ca
0.089 0.120 0.592 Ca
0.343 0.831 0.715 Ca
0.408 0.354 0.867 Ca
0.410 0.055 0.096 Ca
0.559 0.995 0.447 Ca
0.852 0.249 0.259 Ca
0.261 0.339 0.290 Si
0.330 0.692 0.173 Si
0.805 0.251 0.786 Si
0.828 0.825 0.724 Si
0.001 0.787 0.633 O
0.137 0.321 0.420 O
0.138 0.268 0.134 O
0.142 0.805 0.148 O
0.278 0.937 0.503 O
0.304 0.555 0.299 O
0.322 0.076 0.859 O
0.345 0.581 0.018 O
0.464 0.249 0.306 O
0.503 0.822 0.228 O
0.629 0.790 0.625 O
0.724 0.337 0.926 O
0.842 0.045 0.769 O
0.852 0.739 0.878 O
0.857 0.049 0.413 O
0.991 0.350 0.761 O
0.350 0.530 0.691 F
0.639 0.275 0.646 F
0.723 0.041 0.092 F
0.865 0.556 0.220 F
```

The 12 most intense peaks (10° ≤ 2θ ≤ 90°), by intensity:
3.104 Å, 28.8 deg, I 100; 3.072 Å, 29.1 deg, I 78; 2.944 Å, 30.4 deg, I 62; 3.226 Å, 27.6 deg, I 52; 3.249 Å, 27.5 deg, I 50; 3.051 Å, 29.3 deg, I 45; 1.942 Å, 46.8 deg, I 34; 3.567 Å, 25.0 deg, I 34; 2.432 Å, 37.0 deg, I 29; 2.287 Å, 39.4 deg, I 27; 5.379 Å, 16.5 deg, I 24; 2.137 Å, 42.3 deg, I 23

=====

Structure and simulated XRD peak list of MoW2Se4S2 (a GGA-PBE-relaxed structure; Cu Kα).
Lines closer than 0.1° are merged.

```
MoW2Se4S2
1.0
3.275 0.000 0.000
-1.637 2.836 0.000
0.000 0.000 30.217
Mo W Se S
1 2 4 2
direct
0.000 0.000 0.000 Mo
0.000 0.000 0.537 W
0.333 0.667 0.769 W
0.333 0.667 0.056 Se
0.333 0.667 0.481 Se
0.333 0.667 0.594 Se
0.333 0.667 0.944 Se
0.000 0.000 0.718 S
0.000 0.000 0.820 S
```

The 12 most intense peaks (10° ≤ 2θ ≤ 90°), by intensity:
7.554 Å, 11.7 deg, I 100; 2.370 Å, 38.0 deg, I 41; 2.471 Å, 36.4 deg, I 36; 1.973 Å, 46.0 deg, I 34; 2.836 Å, 31.5 deg, I 23; 6.043 Å, 14.7 deg, I 23; 1.637 Å, 56.2 deg, I 21; 2.068 Å, 43.8 deg, I 17; 2.655 Å, 33.8 deg, I 13; 1.600 Å, 57.6 deg, I 10; 2.823 Å, 31.7 deg, I 10; 1.204 Å, 79.6 deg, I 10

=====

Structure and simulated XRD peak list of MgSiIr2 (a GGA-PBE-relaxed structure; Cu Kα).
Lines closer than 0.1° are merged.

```
MgSiIr2
1.0
0.000 3.019 3.019
3.019 0.000 3.019
3.019 3.019 0.000
Mg Si Ir
1 1 2
direct
0.000 0.000 0.000 Mg
0.500 0.500 0.500 Si
0.250 0.250 0.250 Ir
0.750 0.750 0.750 Ir
```

The 6 most intense peaks (10° ≤ 2θ ≤ 90°), by intensity:
2.135 Å, 42.3 deg, I 100; 3.019 Å, 29.6 deg, I 73; 1.232 Å, 77.4 deg, I 34; 1.350 Å, 69.6 deg, I 27; 1.743 Å, 52.5 deg, I 20; 1.509 Å, 61.4 deg, I 17

=====

Structure and simulated XRD peak list of Gd2Fe17N2 (a GGA-PBE-relaxed structure; Cu Kα).
Lines closer than 0.1° are merged.

```
Gd2Fe17N2
1.0
4.799 -4.254 0.000
4.799 4.254 0.000
-1.014 0.000 6.390
Gd Fe N
2 17 2
direct
0.157 0.157 0.340 Gd
0.843 0.843 0.660 Gd
0.000 0.500 0.000 Fe
0.154 0.648 0.340 Fe
0.155 0.155 0.855 Fe
0.212 0.788 0.000 Fe
0.218 0.499 0.716 Fe
0.352 0.846 0.660 Fe
0.407 0.407 0.091 Fe
0.499 0.218 0.716 Fe
0.500 0.000 0.000 Fe
0.500 0.500 0.500 Fe
0.501 0.782 0.284 Fe
0.593 0.593 0.909 Fe
0.648 0.154 0.340 Fe
0.782 0.501 0.284 Fe
0.788 0.212 0.000 Fe
0.845 0.845 0.145 Fe
0.846 0.352 0.660 Fe
0.000 0.500 0.500 N
0.500 0.000 0.500 N
```

The 12 most intense peaks (10° ≤ 2θ ≤ 90°), by intensity:
2.117 Å, 42.7 deg, I 100; 2.140 Å, 42.2 deg, I 100; 2.128 Å, 42.5 deg, I 82; 2.111 Å, 42.8 deg, I 69; 2.064 Å, 43.9 deg, I 68; 2.962 Å, 30.2 deg, I 58; 2.461 Å, 36.5 deg, I 56; 2.377 Å, 37.9 deg, I 38; 2.069 Å, 43.7 deg, I 37; 2.981 Å, 30.0 deg, I 31; 1.231 Å, 77.6 deg, I 27; 2.476 Å, 36.3 deg, I 25

=====

Structure and simulated XRD peak list of Gd5Si2BO13 (a GGA-PBE-relaxed structure; Cu Kα).
Lines closer than 0.1° are merged.

```
Gd5Si2BO13
1.0
9.349 0.000 0.000
0.000 6.922 0.000
-4.657 0.000 8.141
Gd Si B O
10 4 2 26
direct
0.000 0.000 0.000 Gd
0.004 0.500 0.250 Gd
0.112 0.251 0.682 Gd
0.112 0.749 0.682 Gd
0.423 0.249 0.337 Gd
0.423 0.751 0.337 Gd
0.511 0.000 0.781 Gd
0.518 0.500 0.000 Gd
0.736 0.500 0.763 Gd
0.744 0.000 0.233 Gd
0.124 0.500 0.976 Si
0.161 0.000 0.378 Si
0.731 0.000 0.610 Si
0.791 0.500 0.411 Si
0.356 0.500 0.633 B
0.388 0.000 0.040 B
0.006 0.310 0.914 O
0.006 0.690 0.914 O
0.086 0.000 0.502 O
0.104 0.188 0.256 O
0.104 0.812 0.256 O
0.170 0.500 0.543 O
0.230 0.500 0.880 O
0.247 0.500 0.175 O
0.279 0.000 0.857 O
0.294 0.000 0.132 O
0.363 0.000 0.480 O
0.409 0.323 0.747 O
0.409 0.677 0.747 O
0.426 0.500 0.523 O
0.498 0.178 0.093 O
0.498 0.822 0.093 O
0.591 0.500 0.333 O
0.629 0.000 0.407 O
0.665 0.189 0.665 O
0.665 0.811 0.665 O
0.760 0.000 0.002 O
0.762 0.500 0.011 O
0.852 0.310 0.350 O
0.852 0.690 0.350 O
0.892 0.500 0.613 O
0.931 0.000 0.687 O
```

The 12 most intense peaks (10° ≤ 2θ ≤ 90°), by intensity:
2.784 Å, 32.1 deg, I 100; 2.808 Å, 31.9 deg, I 99; 3.184 Å, 28.0 deg, I 73; 3.881 Å, 22.9 deg, I 55; 2.799 Å, 32.0 deg, I 46; 1.845 Å, 49.4 deg, I 38; 4.065 Å, 21.9 deg, I 37; 3.074 Å, 29.1 deg, I 35; 2.703 Å, 33.1 deg, I 35; 1.749 Å, 52.3 deg, I 35; 3.062 Å, 29.2 deg, I 30; 4.050 Å, 21.9 deg, I 22

=====

Structure and simulated XRD peak list of EuMgTl (a GGA-PBE-relaxed structure; Cu Kα).
Lines closer than 0.1° are merged.

```
EuMgTl
1.0
8.173 0.000 0.000
0.000 4.960 0.000
0.000 0.000 8.830
Eu Mg Tl
4 4 4
direct
0.009 0.250 0.191 Eu
0.491 0.750 0.691 Eu
0.509 0.250 0.309 Eu
0.991 0.750 0.809 Eu
0.161 0.250 0.569 Mg
0.339 0.750 0.069 Mg
0.661 0.250 0.931 Mg
0.839 0.750 0.431 Mg
0.217 0.750 0.392 Tl
0.283 0.250 0.892 Tl
0.717 0.750 0.108 Tl
0.783 0.250 0.608 Tl
```

The 12 most intense peaks (10° ≤ 2θ ≤ 90°), by intensity:
2.970 Å, 30.1 deg, I 100; 3.822 Å, 23.3 deg, I 50; 3.885 Å, 22.9 deg, I 41; 3.058 Å, 29.2 deg, I 38; 2.531 Å, 35.5 deg, I 35; 2.480 Å, 36.2 deg, I 32; 2.999 Å, 29.8 deg, I 19; 2.090 Å, 43.3 deg, I 16; 2.603 Å, 34.5 deg, I 15; 1.465 Å, 63.5 deg, I 14; 1.510 Å, 61.4 deg, I 13; 1.621 Å, 56.8 deg, I 13

=====

Structure and simulated XRD peak list of Sr2YCu2SbO7 (a GGA-PBE-relaxed structure; Cu Kα).
Lines closer than 0.1° are merged.

```
Sr2YCu2SbO7
1.0
-12.329 2.728 2.713
12.329 -2.728 2.713
12.329 2.728 -2.713
Sr Y Cu Sb O
4 2 4 2 14
direct
0.007 0.142 0.148 Sr
0.007 0.358 0.365 Sr
0.993 0.642 0.635 Sr
0.993 0.858 0.852 Sr
0.004 0.004 0.000 Y
0.004 0.504 0.500 Y
0.503 0.570 0.066 Cu
0.503 0.937 0.433 Cu
0.504 0.070 0.567 Cu
0.504 0.437 0.934 Cu
0.520 0.278 0.742 Sb
0.536 0.778 0.258 Sb
0.003 0.188 0.695 O
0.003 0.808 0.314 O
0.004 0.319 0.805 O
0.004 0.699 0.185 O
0.023 0.138 0.386 O
0.494 0.169 0.652 O
0.494 0.308 0.305 O
0.494 0.342 0.825 O
0.494 0.688 0.686 O
0.514 0.199 0.195 O
0.514 0.819 0.815 O
0.517 0.669 0.175 O
0.517 0.842 0.348 O
0.752 0.638 0.614 O
```

The 12 most intense peaks (10° ≤ 2θ ≤ 90°), by intensity:
2.809 Å, 31.9 deg, I 100; 1.924 Å, 47.3 deg, I 41; 2.728 Å, 32.8 deg, I 37; 2.713 Å, 33.0 deg, I 37; 2.406 Å, 37.4 deg, I 26; 3.264 Å, 27.3 deg, I 22; 1.590 Å, 58.0 deg, I 19; 1.584 Å, 58.2 deg, I 18; 2.466 Å, 36.4 deg, I 14; 3.673 Å, 24.2 deg, I 12; 1.517 Å, 61.1 deg, I 10; 1.601 Å, 57.6 deg, I 9

=====

Structure and simulated XRD peak list of Rb2Be2CdO6F8 (a GGA-PBE-relaxed structure; Cu Kα).
Lines closer than 0.1° are merged.

```
Rb2Be2CdO6F8
1.0
6.510 0.000 0.000
0.000 11.681 0.000
-2.773 0.000 8.069
Rb Be Cd O F
4 4 2 12 16
direct
0.140 0.139 0.416 Rb
0.140 0.361 0.916 Rb
0.860 0.639 0.084 Rb
0.860 0.861 0.584 Rb
0.245 0.666 0.906 Be
0.245 0.834 0.406 Be
0.755 0.166 0.594 Be
0.755 0.334 0.094 Be
0.500 0.000 0.000 Cd
0.500 0.500 0.500 Cd
0.144 0.549 0.533 O
0.144 0.951 0.033 O
0.269 0.128 0.877 O
0.269 0.372 0.377 O
0.427 0.135 0.157 O
0.427 0.365 0.657 O
0.573 0.635 0.343 O
0.573 0.865 0.843 O
0.731 0.628 0.623 O
0.731 0.872 0.123 O
0.856 0.049 0.967 O
0.856 0.451 0.467 O
0.096 0.579 0.762 F
0.096 0.921 0.262 F
0.100 0.730 0.407 F
0.100 0.770 0.907 F
0.291 0.588 0.060 F
0.291 0.912 0.560 F
0.453 0.697 0.863 F
0.453 0.803 0.363 F
0.547 0.197 0.637 F
0.547 0.303 0.137 F
0.709 0.088 0.440 F
0.709 0.412 0.940 F
0.900 0.230 0.093 F
0.900 0.270 0.593 F
0.904 0.079 0.738 F
0.904 0.421 0.238 F
```

The 12 most intense peaks (10° ≤ 2θ ≤ 90°), by intensity:
3.507 Å, 25.4 deg, I 100; 4.032 Å, 22.0 deg, I 98; 4.011 Å, 22.2 deg, I 90; 2.640 Å, 34.0 deg, I 70; 3.130 Å, 28.5 deg, I 58; 2.078 Å, 43.6 deg, I 54; 2.839 Å, 31.5 deg, I 39; 5.271 Å, 16.8 deg, I 38; 2.407 Å, 37.4 deg, I 31; 1.892 Å, 48.1 deg, I 31; 3.808 Å, 23.4 deg, I 30; 2.801 Å, 31.9 deg, I 29